Starting from a PBE-relaxed structure, the PXRD pattern of Sr2YCu2Bi2O8 was calculated for Cu Kα (weighted mean of Kα1 and Kα2).

Structural model:
```
Sr2YCu2Bi2O8
1.0
2.7529 -15.3532 0.0000
2.7529 15.3532 0.0000
0.0000 0.0000 5.3502
Sr Y Cu Bi O
4 2 4 4 16
direct
0.1099 0.3864 0.0000 Sr
0.3864 0.1099 0.5000 Sr
0.6136 0.8901 0.5000 Sr
0.8901 0.6136 0.0000 Sr
0.0000 0.5000 0.0000 Y
0.5000 0.0000 0.5000 Y
0.0510 0.4491 0.5000 Cu
0.4491 0.0510 0.0000 Cu
0.5509 0.9490 0.0000 Cu
0.9490 0.5509 0.5000 Cu
0.2238 0.3199 0.5000 Bi
0.3199 0.2238 0.0000 Bi
0.6801 0.7762 0.0000 Bi
0.7762 0.6801 0.5000 Bi
0.1219 0.3543 0.5000 O
0.2018 0.7982 0.2500 O
0.2018 0.7982 0.7500 O
0.2847 0.3860 0.0000 O
0.2985 0.7015 0.2500 O
0.2985 0.7015 0.7500 O
0.3543 0.1219 0.0000 O
0.3860 0.2847 0.5000 O
0.6140 0.7153 0.5000 O
0.6457 0.8781 0.0000 O
0.7015 0.2985 0.2500 O
0.7015 0.2985 0.7500 O
0.7153 0.6140 0.0000 O
0.7982 0.2018 0.2500 O
0.7982 0.2018 0.7500 O
0.8781 0.6457 0.5000 O
```

The 6 most intense peaks (10° ≤ 2θ ≤ 80°), in order of rising 2θ:
2θ/deg  Rel. int.
24.78  41
27.41  97
30.96  100
32.52  53
33.50  53
47.38  51

Starting from a PBE-relaxed structure, the PXRD pattern of Ca2P6O17 was calculated for Cu Kα (weighted mean of Kα1 and Kα2).

Structural model:
```
Ca2P6O17
1.0
5.8618 0.0000 0.0000
0.0000 18.4047 0.0000
-2.9284 0.0000 7.2270
Ca P O
4 12 34
direct
0.0890 0.0000 0.1060 Ca
0.0933 0.6478 0.6056 Ca
0.9067 0.1478 0.3944 Ca
0.9110 0.5000 0.8940 Ca
0.2720 0.2416 0.8313 P
0.2732 0.4068 0.3334 P
0.3153 0.2533 0.2268 P
0.3154 0.3949 0.7271 P
0.4826 0.0461 0.5564 P
0.4939 0.6021 0.0539 P
0.5061 0.1021 0.9461 P
0.5174 0.5461 0.4436 P
0.6847 0.7533 0.7732 P
0.6846 0.8949 0.2729 P
0.7268 0.9068 0.6666 P
0.7280 0.7416 0.1687 P
0.0613 0.2126 0.6734 O
0.0646 0.4367 0.1757 O
0.1082 0.2341 0.2840 O
0.1081 0.4139 0.7841 O
0.1961 0.3863 0.5007 O
0.1988 0.2618 0.0005 O
0.2340 0.0612 0.4079 O
0.2382 0.5856 0.9178 O
0.2858 0.0830 0.9878 O
0.2871 0.5718 0.4624 O
0.3998 0.3375 0.2876 O
0.4011 0.3108 0.7879 O
0.4532 0.7106 0.7164 O
0.4548 0.9383 0.2165 O
0.4689 0.0704 0.7478 O
0.4927 0.9578 0.5869 O
0.4957 0.6895 0.0951 O
0.5043 0.1895 0.9049 O
0.5073 0.4578 0.4131 O
0.5311 0.5704 0.2522 O
0.5452 0.4383 0.7835 O
0.5468 0.2106 0.2836 O
0.5989 0.8108 0.2121 O
0.6002 0.8375 0.7124 O
0.7129 0.0718 0.5376 O
0.7142 0.5830 0.0122 O
0.7618 0.0856 0.0822 O
0.7660 0.5612 0.5921 O
0.8012 0.7618 0.9995 O
0.8039 0.8863 0.4993 O
0.8918 0.7341 0.7160 O
0.8919 0.9139 0.2159 O
0.9354 0.9367 0.8243 O
0.9387 0.7126 0.3266 O
```

The 6 most intense peaks (10° ≤ 2θ ≤ 80°), in order of rising 2θ:
2θ/deg  Rel. int.
17.02  100
18.97  65
21.85  55
24.40  47
25.37  39
26.50  38